Diffraction record for CsHoCoSe3. The powder diffractogram is simulated, not measured: it uses the GGA-PBE geometry in the Materials Project and CuKα.
Peak positions follow from Bragg's law for the DFT cell and can differ from measured ones.

Principal peaks in the range 2θ from 5° to 70°, in order of rising 2θ:
10.88°, intensity 87; 19.66°, intensity 52; 27.24°, intensity 49; 28.48°, intensity 100; 31.92°, intensity 39; 39.03°, intensity 59

Structural model:
Cell: 8.384 8.384 10.863 Å, 90.00 90.00 151.64°
Positions (direct):
Cs: 0.240 0.760 0.750
Cs: 0.760 0.240 0.250
Ho: 0.500 0.500 0.000
Ho: 0.500 0.500 0.500
Co: 0.034 0.966 0.250
Co: 0.966 0.034 0.750
Se: 0.114 0.886 0.065
Se: 0.114 0.886 0.435
Se: 0.447 0.553 0.250
Se: 0.553 0.447 0.750
Se: 0.886 0.114 0.565
Se: 0.886 0.114 0.935


Diffraction record for Cs3CoI5. The powder diffractogram is simulated, not measured: it uses the GGA-PBE geometry in the Materials Project and CuKα.
Peak positions follow from Bragg's law for the DFT cell and can differ from measured ones.

Principal peaks in the range 2θ from 5° to 70°, in order of rising 2θ:
23.83°, intensity 100; 24.89°, intensity 81; 25.21°, intensity 57; 25.97°, intensity 72; 30.33°, intensity 40; 47.57°, intensity 33

Structural model:
Cell: 10.194 11.786 15.063 Å, 90.00 90.00 90.00°
Positions (direct):
Cs: 0.082 0.016 0.173
Cs: 0.082 0.484 0.173
Cs: 0.087 0.250 0.454
Cs: 0.413 0.750 0.954
Cs: 0.418 0.516 0.673
Cs: 0.418 0.984 0.673
Cs: 0.582 0.016 0.327
Cs: 0.582 0.484 0.327
Cs: 0.587 0.250 0.046
Cs: 0.913 0.750 0.546
Cs: 0.918 0.516 0.827
Cs: 0.918 0.984 0.827
Co: 0.187 0.250 0.894
Co: 0.313 0.750 0.394
Co: 0.687 0.250 0.606
Co: 0.813 0.750 0.106
I: 0.028 0.750 0.014
I: 0.141 0.250 0.725
I: 0.167 0.750 0.737
I: 0.192 0.565 0.435
I: 0.192 0.935 0.435
I: 0.308 0.065 0.935
I: 0.308 0.435 0.935
I: 0.333 0.250 0.237
I: 0.359 0.750 0.225
I: 0.472 0.250 0.514
I: 0.528 0.750 0.486
I: 0.641 0.250 0.775
I: 0.667 0.750 0.763
I: 0.692 0.565 0.065
I: 0.692 0.935 0.065
I: 0.808 0.065 0.565
I: 0.808 0.435 0.565
I: 0.833 0.250 0.263
I: 0.859 0.750 0.275
I: 0.972 0.250 0.986


Diffraction record for CsMg14Co. The powder diffractogram is simulated, not measured: it uses the GGA-PBE geometry in the Materials Project and CuKα.
Peak positions follow from Bragg's law for the DFT cell and can differ from measured ones.

Principal peaks in the range 2θ from 5° to 70°, in order of rising 2θ:
15.87°, intensity 36; 22.98°, intensity 29; 32.06°, intensity 29; 33.38°, intensity 22; 36.27°, intensity 100; 46.96°, intensity 19

Structural model:
Cell: 6.448 6.448 10.737 Å, 90.00 90.00 120.00°
Positions (direct):
Cs: 0.000 0.000 0.000
Mg: 0.006 0.503 0.000
Mg: 0.163 0.326 0.289
Mg: 0.163 0.326 0.711
Mg: 0.163 0.837 0.289
Mg: 0.163 0.837 0.711
Mg: 0.497 0.503 0.000
Mg: 0.497 0.994 0.000
Mg: 0.507 0.015 0.500
Mg: 0.507 0.493 0.500
Mg: 0.667 0.333 0.239
Mg: 0.667 0.333 0.761
Mg: 0.674 0.837 0.289
Mg: 0.674 0.837 0.711
Mg: 0.985 0.493 0.500
Co: 0.000 0.000 0.500


Diffraction record for CsMg14Co. The powder diffractogram is simulated, not measured: it uses the GGA-PBE geometry in the Materials Project and CuKα.
Peak positions follow from Bragg's law for the DFT cell and can differ from measured ones.

Principal peaks in the range 2θ from 5° to 70°, in order of rising 2θ:
8.29°, intensity 81; 17.54°, intensity 28; 32.28°, intensity 49; 33.62°, intensity 48; 35.51°, intensity 62; 36.52°, intensity 100

Structural model:
Cell: 10.663 6.558 6.558 Å, 57.77 90.00 90.00°
Positions (direct):
Cs: 0.000 0.000 0.000
Mg: 0.000 0.495 0.998
Mg: 0.000 0.998 0.495
Mg: 0.219 0.613 0.613
Mg: 0.256 0.132 0.612
Mg: 0.256 0.612 0.132
Mg: 0.281 0.132 0.132
Mg: 0.500 0.465 0.465
Mg: 0.500 0.471 0.957
Mg: 0.500 0.957 0.471
Mg: 0.500 0.957 0.957
Mg: 0.719 0.132 0.132
Mg: 0.744 0.132 0.612
Mg: 0.744 0.612 0.132
Mg: 0.781 0.613 0.613
Co: 0.000 0.429 0.429


Copy entry 4 word for word.
Diffraction record for CsMg14Co. The powder diffractogram is simulated, not measured: it uses the GGA-PBE geometry in the Materials Project and CuKα.
Peak positions follow from Bragg's law for the DFT cell and can differ from measured ones.

Principal peaks in the range 2θ from 5° to 70°, in order of rising 2θ:
8.29°, intensity 81; 17.54°, intensity 28; 32.28°, intensity 49; 33.62°, intensity 48; 35.51°, intensity 62; 36.52°, intensity 100

Structural model:
Cell: 10.663 6.558 6.558 Å, 57.77 90.00 90.00°
Positions (direct):
Cs: 0.000 0.000 0.000
Mg: 0.000 0.495 0.998
Mg: 0.000 0.998 0.495
Mg: 0.219 0.613 0.613
Mg: 0.256 0.132 0.612
Mg: 0.256 0.612 0.132
Mg: 0.281 0.132 0.132
Mg: 0.500 0.465 0.465
Mg: 0.500 0.471 0.957
Mg: 0.500 0.957 0.471
Mg: 0.500 0.957 0.957
Mg: 0.719 0.132 0.132
Mg: 0.744 0.132 0.612
Mg: 0.744 0.612 0.132
Mg: 0.781 0.613 0.613
Co: 0.000 0.429 0.429